Record 1
For Sm5Ga3, a cell relaxed with GGA-PBE gives the theoretical XRD peak list in this record (a wavelength of 1.5418 Å).
Intensities are scaled so that the largest is 100.

Top 8 peaks for 2θ = 10–90°, in order of rising 2θ:
| Position (°2θ) | I (rel.) |
| --- | --- |
| 26.4 | 16 |
| 31.7 | 100 |
| 32.6 | 13 |
| 33.7 | 36 |
| 36.6 | 42 |
| 37.1 | 14 |
| 52.1 | 16 |
| 56.2 | 14 |

a = 7.772 Å, b = 7.772 Å, c = 14.557 Å
α = 90.00°, β = 90.00°, γ = 90.00°
Fractional coordinates of all 32 atoms:
Sm 0.064 0.594 0.103
Sm 0.064 0.906 0.603
Sm 0.094 0.564 0.397
Sm 0.094 0.936 0.897
Sm 0.250 0.250 0.221
Sm 0.250 0.250 0.721
Sm 0.406 0.564 0.897
Sm 0.406 0.936 0.397
Sm 0.436 0.594 0.603
Sm 0.436 0.906 0.103
Sm 0.564 0.094 0.897
Sm 0.564 0.406 0.397
Sm 0.594 0.064 0.603
Sm 0.594 0.436 0.103
Sm 0.750 0.750 0.279
Sm 0.750 0.750 0.779
Sm 0.906 0.064 0.103
Sm 0.906 0.436 0.603
Sm 0.936 0.094 0.397
Sm 0.936 0.406 0.897
Ga 0.129 0.629 0.750
Ga 0.129 0.871 0.250
Ga 0.250 0.250 0.007
Ga 0.250 0.250 0.507
Ga 0.371 0.629 0.250
Ga 0.371 0.871 0.750
Ga 0.629 0.129 0.250
Ga 0.629 0.371 0.750
Ga 0.750 0.750 0.493
Ga 0.750 0.750 0.993
Ga 0.871 0.129 0.750
Ga 0.871 0.371 0.250

Record 2
For RbLiMnS2, a cell relaxed with GGA-PBE gives the theoretical XRD peak list in this record (a wavelength of 1.5418 Å).
Intensities are scaled so that the largest is 100.

Top 8 peaks for 2θ = 10–90°, in order of rising 2θ:
| Position (°2θ) | I (rel.) |
| --- | --- |
| 23.6 | 39 |
| 27.5 | 15 |
| 30.7 | 100 |
| 32.2 | 14 |
| 35.1 | 37 |
| 46.1 | 26 |
| 53.6 | 33 |
| 56.4 | 32 |

a = 3.935 Å, b = 3.935 Å, c = 12.991 Å
α = 90.00°, β = 90.00°, γ = 90.00°
Fractional coordinates of all 10 atoms:
Rb 0.000 0.000 0.000
Rb 0.500 0.500 0.500
Li 0.000 0.500 0.750
Li 0.500 0.000 0.250
Mn 0.000 0.500 0.250
Mn 0.500 0.000 0.750
S 0.000 0.000 0.338
S 0.000 0.000 0.662
S 0.500 0.500 0.162
S 0.500 0.500 0.838

Record 3
For Tb4H9, a cell relaxed with GGA-PBE gives the theoretical XRD peak list in this record (a wavelength of 1.5418 Å).
Intensities are scaled so that the largest is 100.

Top 8 peaks for 2θ = 10–90°, in order of rising 2θ:
| Position (°2θ) | I (rel.) |
| --- | --- |
| 29.6 | 100 |
| 34.2 | 17 |
| 34.4 | 33 |
| 49.3 | 25 |
| 49.4 | 13 |
| 58.4 | 15 |
| 58.7 | 29 |
| 61.5 | 13 |

a = 6.412 Å, b = 6.412 Å, c = 6.412 Å
α = 132.01°, β = 132.01°, γ = 70.22°
Fractional coordinates of all 13 atoms:
Tb 0.000 0.500 0.500
Tb 0.248 0.248 0.000
Tb 0.500 0.000 0.500
Tb 0.752 0.752 0.000
H 0.000 0.000 0.000
H 0.129 0.129 0.514
H 0.129 0.615 0.000
H 0.385 0.385 0.514
H 0.385 0.871 0.000
H 0.615 0.129 0.000
H 0.615 0.615 0.486
H 0.871 0.385 0.000
H 0.871 0.871 0.486

Record 4
For La4Ge3S12, a cell relaxed with GGA-PBE gives the theoretical XRD peak list in this record (a wavelength of 1.5418 Å).
Intensities are scaled so that the largest is 100.

Top 8 peaks for 2θ = 10–90°, in order of rising 2θ:
| Position (°2θ) | I (rel.) |
| --- | --- |
| 17.6 | 21 |
| 24.0 | 100 |
| 25.3 | 19 |
| 25.8 | 43 |
| 31.7 | 42 |
| 34.3 | 36 |
| 36.4 | 22 |
| 36.7 | 27 |

a = 11.644 Å, b = 11.644 Å, c = 11.644 Å
α = 114.70°, β = 114.70°, γ = 114.70°
Fractional coordinates of all 38 atoms:
La 0.000 0.000 0.000
La 0.028 0.569 0.794
La 0.069 0.528 0.294
La 0.294 0.069 0.528
La 0.500 0.500 0.500
La 0.528 0.294 0.069
La 0.569 0.794 0.028
La 0.794 0.028 0.569
Ge 0.035 0.860 0.647
Ge 0.147 0.360 0.535
Ge 0.360 0.535 0.147
Ge 0.535 0.147 0.360
Ge 0.647 0.035 0.860
Ge 0.860 0.647 0.035
S 0.115 0.717 0.184
S 0.125 0.309 0.312
S 0.154 0.422 0.877
S 0.184 0.115 0.717
S 0.204 0.917 0.889
S 0.217 0.615 0.684
S 0.309 0.312 0.125
S 0.312 0.125 0.309
S 0.377 0.922 0.654
S 0.389 0.417 0.704
S 0.417 0.704 0.389
S 0.422 0.877 0.154
S 0.615 0.684 0.217
S 0.625 0.812 0.809
S 0.654 0.377 0.922
S 0.684 0.217 0.615
S 0.704 0.389 0.417
S 0.717 0.184 0.115
S 0.809 0.625 0.812
S 0.812 0.809 0.625
S 0.877 0.154 0.422
S 0.889 0.204 0.917
S 0.917 0.889 0.204
S 0.922 0.654 0.377

Record 5
For TbFe2, a cell relaxed with GGA-PBE gives the theoretical XRD peak list in this record (a wavelength of 1.5418 Å).
Intensities are scaled so that the largest is 100.

Top 8 peaks for 2θ = 10–90°, in order of rising 2θ:
| Position (°2θ) | I (rel.) |
| --- | --- |
| 21.1 | 16 |
| 34.8 | 68 |
| 41.0 | 100 |
| 42.9 | 14 |
| 62.3 | 25 |
| 66.6 | 31 |
| 73.4 | 22 |
| 83.8 | 11 |

a = 5.162 Å, b = 5.162 Å, c = 5.162 Å
α = 60.00°, β = 60.00°, γ = 60.00°
Fractional coordinates of all 6 atoms:
Tb 0.125 0.125 0.125
Tb 0.875 0.875 0.875
Fe 0.000 0.500 0.500
Fe 0.500 0.000 0.500
Fe 0.500 0.500 0.000
Fe 0.500 0.500 0.500

Record 6
For Hf2Au, a cell relaxed with GGA-PBE gives the theoretical XRD peak list in this record (a wavelength of 1.5418 Å).
Intensities are scaled so that the largest is 100.

Top 8 peaks for 2θ = 10–90°, in order of rising 2θ:
| Position (°2θ) | I (rel.) |
| --- | --- |
| 35.9 | 100 |
| 39.3 | 39 |
| 46.4 | 12 |
| 56.7 | 14 |
| 62.3 | 20 |
| 69.0 | 30 |
| 76.2 | 11 |
| 79.1 | 10 |

a = 3.246 Å, b = 3.246 Å, c = 11.746 Å
α = 90.00°, β = 90.00°, γ = 90.00°
Fractional coordinates of all 6 atoms:
Hf 0.000 0.000 0.163
Hf 0.000 0.000 0.837
Hf 0.500 0.500 0.337
Hf 0.500 0.500 0.663
Au 0.000 0.000 0.500
Au 0.500 0.500 0.000

Record 7
For Cs2NdAgI6, a cell relaxed with GGA-PBE gives the theoretical XRD peak list in this record (a wavelength of 1.5418 Å).
Intensities are scaled so that the largest is 100.

Top 8 peaks for 2θ = 10–90°, in order of rising 2θ:
| Position (°2θ) | I (rel.) |
| --- | --- |
| 20.4 | 21 |
| 25.0 | 69 |
| 28.9 | 100 |
| 41.4 | 75 |
| 49.0 | 32 |
| 51.3 | 26 |
| 67.9 | 34 |
| 75.5 | 25 |

a = 8.727 Å, b = 8.727 Å, c = 8.727 Å
α = 60.00°, β = 60.00°, γ = 60.00°
Fractional coordinates of all 10 atoms:
Cs 0.250 0.250 0.250
Cs 0.750 0.750 0.750
Nd 0.000 0.000 0.000
Ag 0.500 0.500 0.500
I 0.252 0.252 0.748
I 0.252 0.748 0.252
I 0.252 0.748 0.748
I 0.748 0.252 0.252
I 0.748 0.252 0.748
I 0.748 0.748 0.252

Record 8
For MnFeSeS, a cell relaxed with GGA-PBE gives the theoretical XRD peak list in this record (a wavelength of 1.5418 Å).
Intensities are scaled so that the largest is 100.

Top 8 peaks for 2θ = 10–90°, in order of rising 2θ:
| Position (°2θ) | I (rel.) |
| --- | --- |
| 30.4 | 20 |
| 37.3 | 100 |
| 40.9 | 38 |
| 53.1 | 45 |
| 54.4 | 12 |
| 65.0 | 9 |
| 66.7 | 16 |
| 76.1 | 15 |

a = 3.449 Å, b = 3.449 Å, c = 16.356 Å
α = 90.00°, β = 90.00°, γ = 120.00°
Fractional coordinates of all 12 atoms:
Mn 0.000 0.000 0.000
Mn 0.333 0.667 0.667
Mn 0.667 0.333 0.333
Fe 0.000 0.000 0.558
Fe 0.333 0.667 0.225
Fe 0.667 0.333 0.892
Se 0.000 0.000 0.779
Se 0.333 0.667 0.446
Se 0.667 0.333 0.112
S 0.000 0.000 0.281
S 0.333 0.667 0.947
S 0.667 0.333 0.614